Rb3Mg5: theoretical powder XRD pattern (Cu Kα, 1.54184 Å), based on the PBE geometry in Alexandria.
Neutral-atom scattering factors, no anomalous dispersion.

Atomic structure:
Lattice parameters (Å, degrees): 10.642 10.642 10.571 95.66 95.66 143.43
Fractional coordinates of all 16 atoms:
Rb  0.000  0.000  0.000
Rb  0.042  0.542  0.085
Rb  0.085  0.500  0.585
Rb  0.500  0.085  0.585
Rb  0.542  0.042  0.085
Rb  0.585  0.585  0.171
Mg  0.040  0.040  0.586
Mg  0.104  0.255  0.360
Mg  0.255  0.104  0.360
Mg  0.329  0.480  0.811
Mg  0.480  0.329  0.811
Mg  0.545  0.545  0.585
Mg  0.604  0.832  0.432
Mg  0.752  0.981  0.738
Mg  0.832  0.604  0.432
Mg  0.981  0.752  0.738

Largest 10 diffraction maxima, low angle first, 10° ≤ 2θ ≤ 80°:
2theta, I_rel
17.55, 42
17.67, 41
19.26, 26
19.71, 67
25.01, 63
29.09, 73
29.16, 25
29.55, 100
34.13, 27
39.06, 45